This entry pairs a crystal structure of Th3U3P8 with its calculated PXRD pattern. Radiation: Cu Kα (λ = 1.5418 Å). Structure: a cell relaxed with PBE.
Kinematic intensities with the Lorentz-polarization factor, no thermal factor.

The 8 most intense peaks (5° ≤ 2θ ≤ 70°), by intensity:
2θ = 26.0°, 3.433 Å, intensity 100
2θ = 25.8°, 3.447 Å, intensity 67
2θ = 33.7°, 2.660 Å, intensity 63
2θ = 48.4°, 1.880 Å, intensity 39
2θ = 26.0°, 3.423 Å, intensity 34
2θ = 33.5°, 2.671 Å, intensity 32
2θ = 33.8°, 2.654 Å, intensity 31
2θ = 40.1°, 2.250 Å, intensity 28

Structural model:
```
Th3U3P8
1.0
5.9302 -4.2021 0.0000
5.9302 4.2021 0.0000
-5.8973 0.0000 5.9802
Th U P
3 3 8
Direct
0.0000 0.0000 0.0000
0.5039 0.2413 0.1216
0.7587 0.4961 0.8784
0.1269 0.3743 0.6269
0.2583 0.7417 0.5000
0.6257 0.8731 0.3731
0.0330 0.1104 0.7306
0.2275 0.6269 0.0980
0.3731 0.7725 0.9020
0.3787 0.2809 0.4152
0.5224 0.1140 0.7311
0.7191 0.6213 0.5848
0.8860 0.4776 0.2689
0.8896 0.9670 0.2694
```